(1)
This entry pairs a crystal structure of Ca2Zn2SnO6 with its computed powder diffractogram. Radiation: Cu Ka. Structure: a structure optimized by DFT (GGA-PBE).
Neutral-atom scattering factors, no anomalous dispersion.

Largest 10 diffraction maxima, low angle first, 2θ from 10° to 90°:
16.0 deg, intensity 68.9
24.9 deg, intensity 31.5
32.4 deg, intensity 20.9
33.2 deg, intensity 79.0
37.0 deg, intensity 47.1
47.0 deg, intensity 100.0
59.3 deg, intensity 29.5
69.2 deg, intensity 15.6
77.5 deg, intensity 15.5
78.9 deg, intensity 19.8

Unit cell a=5.400 b=5.400 c=5.533 alpha=90.00 beta=90.00 gamma=120.00
Atoms (fractional coordinates):
Ca (0.333, 0.667, 0.000)
Ca (0.667, 0.333, 0.000)
Zn (0.333, 0.667, 0.500)
Zn (0.667, 0.333, 0.500)
Sn (0.000, 0.000, 0.500)
O (0.000, 0.331, 0.715)
O (0.000, 0.669, 0.285)
O (0.331, 0.000, 0.715)
O (0.331, 0.331, 0.285)
O (0.669, 0.000, 0.285)
O (0.669, 0.669, 0.715)

=====

(2)
This entry pairs a crystal structure of Ho6ThS8 with its computed powder diffractogram. Radiation: Cu Ka. Structure: a structure optimized by DFT (GGA-PBE).
Neutral-atom scattering factors, no anomalous dispersion.

Largest 10 diffraction maxima, low angle first, 2θ from 10° to 90°:
13.9 deg, intensity 20.1
26.9 deg, intensity 15.6
28.1 deg, intensity 77.7
32.6 deg, intensity 100.0
46.7 deg, intensity 71.9
55.4 deg, intensity 38.6
58.1 deg, intensity 24.9
75.3 deg, intensity 15.8
77.6 deg, intensity 32.0
86.7 deg, intensity 24.9

Unit cell a=7.778 b=7.778 c=7.778 alpha=60.00 beta=60.00 gamma=60.00
Atoms (fractional coordinates):
Ho (0.000, 0.000, 0.500)
Ho (0.000, 0.500, 0.000)
Ho (0.000, 0.500, 0.500)
Ho (0.500, 0.000, 0.000)
Ho (0.500, 0.000, 0.500)
Ho (0.500, 0.500, 0.000)
Th (0.000, 0.000, 0.000)
S (0.250, 0.250, 0.250)
S (0.259, 0.259, 0.741)
S (0.259, 0.741, 0.259)
S (0.259, 0.741, 0.741)
S (0.741, 0.259, 0.259)
S (0.741, 0.259, 0.741)
S (0.741, 0.741, 0.259)
S (0.750, 0.750, 0.750)

=====

(3)
This entry pairs a crystal structure of ZrAs2Au with its computed powder diffractogram. Radiation: Cu Ka. Structure: a structure optimized by DFT (GGA-PBE).
Neutral-atom scattering factors, no anomalous dispersion.

Largest 10 diffraction maxima, low angle first, 2θ from 10° to 90°:
24.5 deg, intensity 15.4
34.9 deg, intensity 29.4
35.0 deg, intensity 12.0
37.3 deg, intensity 100.0
46.8 deg, intensity 13.7
47.2 deg, intensity 13.3
59.7 deg, intensity 10.9
60.0 deg, intensity 12.2
64.1 deg, intensity 13.5
80.5 deg, intensity 10.7

Unit cell a=3.849 b=3.880 c=10.287 alpha=90.00 beta=90.00 gamma=90.00
Atoms (fractional coordinates):
Zr (0.000, 0.000, 0.000)
Zr (0.500, 0.500, 0.500)
As (0.000, 0.000, 0.459)
As (0.000, 0.500, 0.208)
As (0.500, 0.000, 0.708)
As (0.500, 0.500, 0.959)
Au (0.000, 0.500, 0.742)
Au (0.500, 0.000, 0.242)

=====

(4)
This entry pairs a crystal structure of Li3Cd4Ga with its computed powder diffractogram. Radiation: Cu Ka. Structure: a structure optimized by DFT (GGA-PBE).
Neutral-atom scattering factors, no anomalous dispersion.

Largest 10 diffraction maxima, low angle first, 2θ from 10° to 90°:
21.1 deg, intensity 63.3
22.7 deg, intensity 40.0
23.6 deg, intensity 49.9
23.8 deg, intensity 47.5
28.6 deg, intensity 100.0
33.8 deg, intensity 67.8
34.2 deg, intensity 67.4
35.4 deg, intensity 95.8
42.3 deg, intensity 81.4
58.7 deg, intensity 42.9

Unit cell a=3.146 b=4.277 c=11.997 alpha=99.54 beta=97.32 gamma=90.11
Atoms (fractional coordinates):
Li (0.000, 0.000, 0.000)
Li (0.148, 0.650, 0.299)
Li (0.852, 0.350, 0.701)
Cd (0.282, 0.782, 0.566)
Cd (0.408, 0.905, 0.813)
Cd (0.592, 0.095, 0.187)
Cd (0.718, 0.218, 0.434)
Ga (0.500, 0.500, 0.000)

=====

(5)
This entry pairs a crystal structure of Nd3Ag4Pb2 with its computed powder diffractogram. Radiation: Cu Ka. Structure: a structure optimized by DFT (GGA-PBE).
Neutral-atom scattering factors, no anomalous dispersion.

Largest 10 diffraction maxima, low angle first, 2θ from 10° to 90°:
31.7 deg, intensity 21.7
31.9 deg, intensity 23.0
32.1 deg, intensity 100.0
36.4 deg, intensity 77.2
37.1 deg, intensity 38.0
49.0 deg, intensity 20.5
49.7 deg, intensity 13.1
63.1 deg, intensity 19.1
63.8 deg, intensity 13.4
66.4 deg, intensity 13.0

Unit cell a=6.171 b=6.171 c=9.406 alpha=113.64 beta=113.64 gamma=46.20
Atoms (fractional coordinates):
Nd (0.000, 0.000, 0.000)
Nd (0.343, 0.343, 0.322)
Nd (0.657, 0.657, 0.678)
Ag (0.082, 0.082, 0.424)
Ag (0.288, 0.288, 0.961)
Ag (0.712, 0.712, 0.039)
Ag (0.918, 0.918, 0.576)
Pb (0.380, 0.380, 0.719)
Pb (0.620, 0.620, 0.281)

=====

(6)
This entry pairs a crystal structure of Pm2Ho with its computed powder diffractogram. Radiation: Cu Ka. Structure: a structure optimized by DFT (GGA-PBE).
Neutral-atom scattering factors, no anomalous dispersion.

Largest 8 diffraction maxima, low angle first, 2θ from 10° to 90°:
30.3 deg, intensity 100.0
35.2 deg, intensity 50.7
50.6 deg, intensity 36.2
60.1 deg, intensity 43.0
63.1 deg, intensity 12.4
74.3 deg, intensity 5.7
82.3 deg, intensity 17.7
85.0 deg, intensity 16.5

Unit cell a=3.611 b=3.611 c=15.302 alpha=90.00 beta=90.00 gamma=90.00
Atoms (fractional coordinates):
Pm (0.000, 0.000, 0.165)
Pm (0.000, 0.000, 0.835)
Pm (0.500, 0.500, 0.335)
Pm (0.500, 0.500, 0.665)
Ho (0.000, 0.000, 0.500)
Ho (0.500, 0.500, 0.000)

=====

(7)
This entry pairs a crystal structure of La8Y2Ho3 with its computed powder diffractogram. Radiation: Cu Ka. Structure: a structure optimized by DFT (GGA-PBE).
Neutral-atom scattering factors, no anomalous dispersion.

Largest 10 diffraction maxima, low angle first, 2θ from 10° to 90°:
24.8 deg, intensity 13.1
29.1 deg, intensity 76.6
30.2 deg, intensity 54.4
30.4 deg, intensity 20.8
30.6 deg, intensity 100.0
31.9 deg, intensity 24.2
37.4 deg, intensity 15.0
42.4 deg, intensity 19.1
53.5 deg, intensity 19.8
53.9 deg, intensity 17.1

Unit cell a=9.040 b=9.040 c=6.154 alpha=106.89 beta=106.89 gamma=81.82
Atoms (fractional coordinates):
La (0.085, 0.085, 0.234)
La (0.100, 0.580, 0.852)
La (0.362, 0.362, 0.388)
La (0.420, 0.900, 0.148)
La (0.580, 0.100, 0.852)
La (0.638, 0.638, 0.612)
La (0.900, 0.420, 0.148)
La (0.915, 0.915, 0.766)
Y (0.187, 0.187, 0.816)
Y (0.813, 0.813, 0.184)
Ho (0.227, 0.773, 0.500)
Ho (0.500, 0.500, 0.000)
Ho (0.773, 0.227, 0.500)

=====

(8)
This entry pairs a crystal structure of HoZn2B2O6 with its computed powder diffractogram. Radiation: Cu Ka. Structure: a structure optimized by DFT (GGA-PBE).
Neutral-atom scattering factors, no anomalous dispersion.

Largest 10 diffraction maxima, low angle first, 2θ from 10° to 90°:
12.5 deg, intensity 46.2
24.1 deg, intensity 100.0
32.7 deg, intensity 74.9
35.9 deg, intensity 35.3
38.2 deg, intensity 16.8
43.7 deg, intensity 34.9
49.4 deg, intensity 18.8
53.4 deg, intensity 27.6
57.8 deg, intensity 25.7
62.6 deg, intensity 18.9

Unit cell a=4.998 b=4.998 c=7.078 alpha=90.00 beta=90.00 gamma=120.00
Atoms (fractional coordinates):
Ho (0.000, 0.000, 0.000)
Zn (0.333, 0.667, 0.307)
Zn (0.667, 0.333, 0.693)
B (0.333, 0.667, 0.799)
B (0.667, 0.333, 0.201)
O (0.059, 0.672, 0.803)
O (0.328, 0.387, 0.803)
O (0.387, 0.059, 0.197)
O (0.613, 0.941, 0.803)
O (0.672, 0.613, 0.197)
O (0.941, 0.328, 0.197)

=====

(9)
This entry pairs a crystal structure of Na2Bi2Pt with its computed powder diffractogram. Radiation: Cu Ka. Structure: a structure optimized by DFT (GGA-PBE).
Neutral-atom scattering factors, no anomalous dispersion.

Largest 10 diffraction maxima, low angle first, 2θ from 10° to 90°:
14.4 deg, intensity 35.9
19.0 deg, intensity 63.0
26.0 deg, intensity 100.0
34.4 deg, intensity 61.7
37.8 deg, intensity 51.2
45.6 deg, intensity 46.0
46.5 deg, intensity 43.7
54.5 deg, intensity 22.5
66.1 deg, intensity 18.9
73.8 deg, intensity 23.1

Unit cell a=12.771 b=12.771 c=12.771 alpha=158.51 beta=158.51 gamma=30.57
Atoms (fractional coordinates):
Na (0.047, 0.297, 0.750)
Na (0.297, 0.047, 0.250)
Na (0.703, 0.953, 0.750)
Na (0.953, 0.703, 0.250)
Bi (0.181, 0.431, 0.750)
Bi (0.431, 0.181, 0.250)
Bi (0.569, 0.819, 0.750)
Bi (0.819, 0.569, 0.250)
Pt (0.375, 0.625, 0.750)
Pt (0.625, 0.375, 0.250)

=====

(10)
This entry pairs a crystal structure of LaIn2Cu9 with its computed powder diffractogram. Radiation: Cu Ka. Structure: a structure optimized by DFT (GGA-PBE).
Neutral-atom scattering factors, no anomalous dispersion.

Largest 10 diffraction maxima, low angle first, 2θ from 10° to 90°:
34.1 deg, intensity 47.7
35.0 deg, intensity 40.9
41.0 deg, intensity 34.3
41.6 deg, intensity 100.0
44.0 deg, intensity 24.7
44.5 deg, intensity 16.7
62.2 deg, intensity 15.8
66.6 deg, intensity 12.6
67.2 deg, intensity 22.3
73.9 deg, intensity 21.2

Unit cell a=5.132 b=5.132 c=16.300 alpha=90.00 beta=90.00 gamma=120.00
Atoms (fractional coordinates):
La (0.333, 0.667, 0.250)
La (0.667, 0.333, 0.750)
In (0.333, 0.667, 0.037)
In (0.333, 0.667, 0.463)
In (0.667, 0.333, 0.537)
In (0.667, 0.333, 0.963)
Cu (0.000, 0.000, 0.000)
Cu (0.000, 0.000, 0.250)
Cu (0.000, 0.000, 0.500)
Cu (0.000, 0.000, 0.750)
Cu (0.168, 0.336, 0.623)
Cu (0.168, 0.336, 0.877)
Cu (0.168, 0.832, 0.623)
Cu (0.168, 0.832, 0.877)
Cu (0.333, 0.667, 0.750)
Cu (0.336, 0.168, 0.123)
Cu (0.336, 0.168, 0.377)
Cu (0.664, 0.832, 0.623)
Cu (0.664, 0.832, 0.877)
Cu (0.667, 0.333, 0.250)
Cu (0.832, 0.168, 0.123)
Cu (0.832, 0.168, 0.377)
Cu (0.832, 0.664, 0.123)
Cu (0.832, 0.664, 0.377)

=====

(11)
This entry pairs a crystal structure of LaGa12Pd6 with its computed powder diffractogram. Radiation: Cu Ka. Structure: a structure optimized by DFT (GGA-PBE).
Neutral-atom scattering factors, no anomalous dispersion.

Largest 10 diffraction maxima, low angle first, 2θ from 10° to 90°:
25.9 deg, intensity 57.9
31.5 deg, intensity 35.0
33.8 deg, intensity 99.0
34.3 deg, intensity 100.0
38.6 deg, intensity 33.9
40.8 deg, intensity 54.7
41.2 deg, intensity 86.5
44.3 deg, intensity 89.3
44.9 deg, intensity 69.1
50.6 deg, intensity 67.7

Unit cell a=7.217 b=7.217 c=7.217 alpha=103.99 beta=103.99 gamma=103.99
Atoms (fractional coordinates):
La (0.000, 0.000, 0.000)
Ga (0.111, 0.500, 0.889)
Ga (0.111, 0.889, 0.500)
Ga (0.146, 0.398, 0.398)
Ga (0.398, 0.146, 0.398)
Ga (0.398, 0.398, 0.146)
Ga (0.500, 0.111, 0.889)
Ga (0.500, 0.889, 0.111)
Ga (0.602, 0.602, 0.854)
Ga (0.602, 0.854, 0.602)
Ga (0.854, 0.602, 0.602)
Ga (0.889, 0.111, 0.500)
Ga (0.889, 0.500, 0.111)
Pd (0.283, 0.712, 0.712)
Pd (0.288, 0.288, 0.717)
Pd (0.288, 0.717, 0.288)
Pd (0.712, 0.283, 0.712)
Pd (0.712, 0.712, 0.283)
Pd (0.717, 0.288, 0.288)

=====

(12)
This entry pairs a crystal structure of PmHo8Sc2 with its computed powder diffractogram. Radiation: Cu Ka. Structure: a structure optimized by DFT (GGA-PBE).
Neutral-atom scattering factors, no anomalous dispersion.

Largest 10 diffraction maxima, low angle first, 2θ from 10° to 90°:
23.0 deg, intensity 21.6
30.5 deg, intensity 26.5
32.7 deg, intensity 100.0
33.5 deg, intensity 32.3
33.6 deg, intensity 19.5
34.6 deg, intensity 19.1
48.2 deg, intensity 14.3
48.9 deg, intensity 14.4
59.4 deg, intensity 18.1
64.6 deg, intensity 13.3

Unit cell a=9.167 b=9.167 c=9.167 alpha=146.07 beta=127.48 gamma=64.02
Atoms (fractional coordinates):
Pm (0.000, 0.000, 0.000)
Ho (0.151, 0.857, 0.295)
Ho (0.164, 0.664, 0.500)
Ho (0.300, 0.500, 0.800)
Ho (0.438, 0.143, 0.295)
Ho (0.562, 0.857, 0.705)
Ho (0.700, 0.500, 0.200)
Ho (0.836, 0.336, 0.500)
Ho (0.849, 0.143, 0.705)
Sc (0.300, 0.300, 0.000)
Sc (0.700, 0.700, 0.000)